Record 1
Simulated PXRD pattern of BaLa2O4 for a wavelength of 1.5418 Å, from a GGA-PBE-relaxed structure.
No peak broadening, texture or thermal motion is included.

```
42
Lattice="5.522 -3.262 0.000 5.522 3.262 0.000 -0.302 0.000 23.547" Properties=species:S:1:pos:R:3 pbc="T T T"
Ba 5.295 2.543 17.660
Ba 3.623 0.720 8.226
Ba 3.472 -0.720 20.000
Ba 7.269 0.720 3.547
Ba 7.117 -0.720 15.321
Ba 5.446 -2.543 5.887
La 5.305 2.527 13.505
La 5.285 2.527 21.815
La 3.591 0.733 4.570
La 3.702 0.712 1.187
La 3.440 -0.733 16.344
La 3.551 -0.712 12.961
La 7.189 0.712 10.586
La 7.301 0.733 7.203
La 7.038 -0.712 22.360
La 7.150 -0.733 18.977
La 5.456 -2.527 1.732
La 5.436 -2.527 10.042
O 3.362 1.901 20.616
O 1.297 0.430 23.472
O 2.007 0.658 17.593
O 5.024 2.018 2.923
O 3.820 1.082 14.625
O 1.449 -0.430 11.699
O 5.868 2.018 8.850
O 2.158 -0.658 5.819
O 7.227 1.901 14.705
O 6.769 1.082 20.696
O 5.446 0.071 5.887
O 5.522 0.000 0.000
O 5.370 0.000 11.774
O 5.295 -0.071 17.660
O 3.972 -1.082 2.851
O 3.514 -1.901 8.842
O 8.582 0.658 17.728
O 4.873 -2.018 14.697
O 9.292 0.430 11.849
O 6.920 -1.082 8.923
O 5.717 -2.018 20.624
O 8.734 -0.658 5.954
O 9.443 -0.430 0.075
O 7.378 -1.901 2.931
```

The 10 most intense peaks (2θ from 5° to 70°), by intensity:
- 2θ 27.8, intensity 100
- 2θ 27.8, intensity 62
- 2θ 27.6, intensity 47
- 2θ 28.1, intensity 38
- 2θ 41.8, intensity 28
- 2θ 40.2, intensity 21
- 2θ 31.1, intensity 20
- 2θ 48.8, intensity 20
- 2θ 49.5, intensity 19
- 2θ 49.1, intensity 18

Record 2
Simulated PXRD pattern of BaLa2O4 for a wavelength of 1.5418 Å, from a GGA-PBE-relaxed structure.
No peak broadening, texture or thermal motion is included.

```
14
Lattice="0.000 5.273 5.273 5.273 0.000 5.273 5.273 5.273 0.000" Properties=species:S:1:pos:R:3 pbc="T T T"
Ba 1.318 1.318 1.318
Ba 9.228 9.228 9.228
La 5.273 2.637 2.637
La 2.637 5.273 2.637
La 2.637 2.637 5.273
La 5.273 5.273 5.273
O 2.831 2.831 2.831
O 5.079 5.079 2.831
O 5.079 2.831 5.079
O 7.716 5.468 5.468
O 2.831 5.079 5.079
O 5.468 7.716 5.468
O 5.468 5.468 7.716
O 7.716 7.716 7.716
```

The 10 most intense peaks (2θ from 5° to 70°), by intensity:
- 2θ 28.1, intensity 100
- 2θ 48.8, intensity 43
- 2θ 44.6, intensity 43
- 2θ 23.9, intensity 27
- 2θ 29.3, intensity 26
- 2θ 68.3, intensity 23
- 2θ 58.0, intensity 14
- 2θ 57.3, intensity 14
- 2θ 34.0, intensity 12
- 2θ 42.0, intensity 11

Record 3
Simulated PXRD pattern of BaLa2PtO5 for a wavelength of 1.5418 Å, from a GGA-PBE-relaxed structure.
No peak broadening, texture or thermal motion is included.

```
18
Lattice="6.947 0.000 0.000 0.000 6.947 0.000 0.000 0.000 6.003" Properties=species:S:1:pos:R:3 pbc="T T T"
Ba 0.000 0.000 0.000
Ba 3.473 3.473 0.000
La 1.228 2.245 3.002
La 2.245 5.718 3.002
La 4.702 1.228 3.002
La 5.718 4.702 3.002
Pt 0.000 3.473 0.000
Pt 3.473 0.000 0.000
O 0.000 0.000 3.002
O 0.980 4.454 1.490
O 0.980 4.454 4.513
O 2.493 0.980 1.490
O 2.493 0.980 4.513
O 3.473 3.473 3.002
O 4.454 5.966 1.490
O 4.454 5.966 4.513
O 5.966 2.493 1.490
O 5.966 2.493 4.513
```

The 10 most intense peaks (2θ from 5° to 70°), by intensity:
- 2θ 29.7, intensity 100
- 2θ 32.5, intensity 21
- 2θ 36.6, intensity 19
- 2θ 47.9, intensity 17
- 2θ 52.8, intensity 17
- 2θ 41.8, intensity 16
- 2θ 39.7, intensity 12
- 2θ 61.7, intensity 10
- 2θ 59.5, intensity 9
- 2θ 43.9, intensity 9